The following is a computed X-ray diffraction stick pattern of SbWAu4. It was derived from a structure optimized by DFT (GGA-PBE), using a wavelength of 1.5418 Å.
Intensities are scaled so that the largest is 100.

Cell and atoms:
Lattice parameters (Å, degrees): 5.5413 5.5413 5.5413 60.00 60.00 60.00
Fractional positions:
Sb 0.0000 0.0000 0.0000
W 0.7500 0.7500 0.7500
Au 0.3753 0.3753 0.3753
Au 0.3753 0.3753 0.8740
Au 0.3753 0.8740 0.3753
Au 0.8740 0.3753 0.3753

Main lines, in order of falling intensity (5° ≤ 2θ ≤ 70°):
Position (°2θ)	d [Å]	I/Imax
38.1	2.363	100
39.8	2.262	50
61.5	1.508	33
67.6	1.385	30
32.3	2.771	19
19.6	4.524	16
46.3	1.959	9
57.6	1.600	7
50.8	1.798	4
22.7	3.918	1

***

The following is a computed X-ray diffraction stick pattern of Y2Sb2Au. It was derived from a structure optimized by DFT (GGA-PBE), using a wavelength of 1.5418 Å.
Intensities are scaled so that the largest is 100.

Cell and atoms:
Lattice parameters (Å, degrees): 8.0234 8.0234 4.2814 90.00 90.00 90.00
Fractional positions:
Y 0.1661 0.3339 0.0000
Y 0.3339 0.8339 0.0000
Y 0.6661 0.1661 0.0000
Y 0.8339 0.6661 0.0000
Sb 0.1387 0.6387 0.5000
Sb 0.3613 0.1387 0.5000
Sb 0.6387 0.8613 0.5000
Sb 0.8613 0.3613 0.5000
Au 0.0000 0.0000 0.0000
Au 0.5000 0.5000 0.0000

Main lines, in order of falling intensity (5° ≤ 2θ ≤ 70°):
Position (°2θ)	d [Å]	I/Imax
32.6	2.750	100
35.4	2.537	71
26.1	3.417	55
56.2	1.636	37
42.2	2.141	23
38.1	2.365	18
31.5	2.837	17
50.2	1.816	16
66.4	1.407	16
30.5	2.927	13

***

The following is a computed X-ray diffraction stick pattern of Zn2SbAu10. It was derived from a structure optimized by DFT (GGA-PBE), using a wavelength of 1.5418 Å.
Intensities are scaled so that the largest is 100.

Cell and atoms:
Lattice parameters (Å, degrees): 9.3458 7.3492 7.0177 81.12 50.98 47.89
Fractional positions:
Zn 0.0000 0.0000 0.5000
Zn 0.5000 0.5000 0.0000
Sb 0.0000 0.0000 0.0000
Au 0.0000 0.5000 0.0000
Au 0.0124 0.6632 0.3368
Au 0.2838 0.5079 0.4921
Au 0.3368 0.9876 0.0124
Au 0.4921 0.7162 0.2838
Au 0.5000 0.0000 0.5000
Au 0.5079 0.2838 0.7162
Au 0.6632 0.0124 0.9876
Au 0.7162 0.4921 0.5079
Au 0.9876 0.3368 0.6632

Main lines, in order of falling intensity (5° ≤ 2θ ≤ 70°):
Position (°2θ)	d [Å]	I/Imax
38.6	2.333	100
42.6	2.121	96
41.6	2.169	94
39.1	2.305	90
37.2	2.414	84
32.9	2.724	80
37.4	2.403	75
31.7	2.821	54
68.9	1.362	48
43.6	2.078	34

***

The following is a computed X-ray diffraction stick pattern of Zr2SbAu. It was derived from a structure optimized by DFT (GGA-PBE), using a wavelength of 1.5418 Å.
Intensities are scaled so that the largest is 100.

Cell and atoms:
Lattice parameters (Å, degrees): 3.8298 3.8298 6.0141 90.00 90.00 90.00
Fractional positions:
Zr 0.0000 0.0000 0.0000
Zr 0.5000 0.5000 0.2904
Sb 0.5000 0.5000 0.7869
Au 0.0000 0.0000 0.4978

Main lines, in order of falling intensity (5° ≤ 2θ ≤ 70°):
Position (°2θ)	d [Å]	I/Imax
38.0	2.365	100
33.1	2.708	78
62.4	1.488	46
47.5	1.915	28
27.6	3.230	12
14.7	6.014	10
69.4	1.354	9
45.1	2.012	6
36.4	2.469	5
66.8	1.400	5

***

The following is a computed X-ray diffraction stick pattern of ScAu4. It was derived from a structure optimized by DFT (GGA-PBE), using a wavelength of 1.5418 Å.
Intensities are scaled so that the largest is 100.

Cell and atoms:
Lattice parameters (Å, degrees): 5.1410 5.1410 5.1410 99.13 99.13 133.06
Fractional positions:
Sc 0.0000 0.0000 0.0000
Au 0.2030 0.6020 0.8049
Au 0.3980 0.2030 0.6010
Au 0.6020 0.7970 0.3990
Au 0.7970 0.3980 0.1951

Main lines, in order of falling intensity (5° ≤ 2θ ≤ 70°):
Position (°2θ)	d [Å]	I/Imax
37.3	2.411	100
42.9	2.109	34
63.3	1.469	22
44.2	2.047	15
62.3	1.491	11
25.5	3.489	9
18.8	4.716	7
26.7	3.335	5
54.4	1.686	2
61.7	1.504	2

***

The following is a computed X-ray diffraction stick pattern of Sc3Au5. It was derived from a structure optimized by DFT (GGA-PBE), using a wavelength of 1.5418 Å.
Intensities are scaled so that the largest is 100.

Cell and atoms:
Lattice parameters (Å, degrees): 7.2949 7.2949 3.4177 90.00 90.00 120.00
Fractional positions:
Sc 0.0000 0.6074 0.0000
Sc 0.3926 0.3926 0.0000
Sc 0.6074 0.0000 0.0000
Au 0.0000 0.2304 0.5000
Au 0.2304 0.0000 0.5000
Au 0.3333 0.6667 0.5000
Au 0.6667 0.3333 0.5000
Au 0.7696 0.7696 0.5000

Main lines, in order of falling intensity (5° ≤ 2θ ≤ 70°):
Position (°2θ)	d [Å]	I/Imax
37.7	2.388	100
46.4	1.957	85
36.0	2.494	77
26.1	3.418	72
38.8	2.320	43
67.4	1.390	37
24.4	3.647	33
28.3	3.159	25
42.9	2.106	23
68.0	1.379	20

***

The following is a computed X-ray diffraction stick pattern of Sc2Au. It was derived from a structure optimized by DFT (GGA-PBE), using a wavelength of 1.5418 Å.
Intensities are scaled so that the largest is 100.

Cell and atoms:
Lattice parameters (Å, degrees): 7.0348 7.0348 4.5886 90.00 90.00 120.00
Fractional positions:
Sc 0.0000 0.2559 0.0000
Sc 0.0000 0.5887 0.5000
Sc 0.2559 0.0000 0.0000
Sc 0.4113 0.4113 0.5000
Sc 0.5887 0.0000 0.5000
Sc 0.7441 0.7441 0.0000
Au 0.0000 0.0000 0.5000
Au 0.3333 0.6667 0.0000
Au 0.6667 0.3333 0.0000

Main lines, in order of falling intensity (5° ≤ 2θ ≤ 70°):
Position (°2θ)	d [Å]	I/Imax
35.4	2.538	100
25.3	3.517	100
24.3	3.665	96
44.0	2.058	72
44.6	2.031	47
47.3	1.922	40
60.9	1.521	37
32.1	2.792	36
39.3	2.294	34
52.0	1.759	20

***

The following is a computed X-ray diffraction stick pattern of Sc3Au2. It was derived from a structure optimized by DFT (GGA-PBE), using a wavelength of 1.5418 Å.
Intensities are scaled so that the largest is 100.

Cell and atoms:
Lattice parameters (Å, degrees): 7.7858 7.7858 3.4901 90.00 90.00 90.00
Fractional positions:
Sc 0.0000 0.0000 0.0000
Sc 0.1624 0.3376 0.5000
Sc 0.3376 0.8376 0.5000
Sc 0.5000 0.5000 0.0000
Sc 0.6624 0.1624 0.5000
Sc 0.8376 0.6624 0.5000
Au 0.1364 0.6364 0.0000
Au 0.3636 0.1364 0.0000
Au 0.6364 0.8636 0.0000
Au 0.8636 0.3636 0.0000

Main lines, in order of falling intensity (5° ≤ 2θ ≤ 70°):
Position (°2θ)	d [Å]	I/Imax
36.5	2.464	100
25.6	3.485	56
16.1	5.505	22
49.7	1.836	17
45.1	2.012	14
46.7	1.946	11
65.6	1.424	10
59.2	1.560	8
41.8	2.159	8
53.9	1.700	8